This entry pairs a crystal structure of LaNiI2O with its computed PXRD pattern. Radiation: Cu Kα (λ = 1.5418 Å). Structure: the PBE+U geometry in Alexandria.
Peak positions follow from Bragg's law for the DFT cell and can differ from measured ones.

Cell and atoms:
a = 6.4908 Å, b = 6.4908 Å, c = 4.2941 Å
α = 90.00°, β = 90.00°, γ = 90.00°
Space group P4/mmm (No. 123)
One atom of each set of equivalent atoms:
La1 0.0000 0.0000 0.0000 x1
Ni1 0.5000 0.5000 0.5000 x1
I1 0.0000 0.5000 0.0000 x2
O1 0.0000 0.0000 0.5000 x1

Main lines, by angle (10 to 80 degrees two-theta):
2θ (°)	I/Imax	h k l
20.68	42	0 0 1
24.86	40	1 0 1
27.48	100	2 0 0
28.46	32	1 1 1
34.65	45	2 0 1
37.39	27	2 1 1
39.26	38	2 2 0
44.78	22	2 2 1
51.00	35	2 0 2
58.91	22	2 2 2